Record 1
# NdPaO4
Theoretical powder X-ray diffraction pattern, Cu Kα X-rays. Input: a PBE-relaxed structure.

The 6 most intense peaks (5 to 70 degrees two-theta), low angle first:
h k l, 2theta, Rel. int.
1 1 2, 28.1, 100
2 0 0, 32.5, 23
2 2 0, 46.6, 17
2 0 4, 46.9, 34
3 1 2, 55.3, 31
1 1 6, 55.8, 15

Cell and atoms:
Cell lengths 5.5150, 5.5150, 10.8959 Å; angles 90.00, 90.00, 90.00 degrees
Space group I4_1/amd (No. 141, origin choice 2)
Asymmetric unit:
Nd1 0.0000 0.2500 0.3750
Pa1 0.0000 0.2500 0.8750
O1 0.2305 0.0000 0.0000

Record 2
# CsMgN
Theoretical powder X-ray diffraction pattern, Cu Kα X-rays. Input: a PBE-relaxed structure.

The 6 most intense peaks (5 to 70 degrees two-theta), low angle first:
h k l, 2theta, Rel. int.
0 0 2, 23.8, 39
1 1 1, 26.9, 100
3 0 1, 27.4, 89
2 1 0, 28.0, 43
2 1 2, 37.1, 50
3 2 1, 54.5, 25

Cell and atoms:
Cell lengths 10.8472, 3.9390, 7.4744 Å; angles 90.00, 90.00, 90.00 degrees
Space group Pnma (No. 62)
Asymmetric unit:
Cs1 0.1706 0.2500 0.0246
Mg1 0.0183 0.2500 0.6102
N1 0.0319 0.7500 0.6728

Record 3
# Bi2TeSe2
Theoretical powder X-ray diffraction pattern, Cu Kα X-rays. Input: a PBE-relaxed structure.

The 6 most intense peaks (5 to 70 degrees two-theta), low angle first:
h k l, 2theta, Rel. int.
0 0 6, 17.5, 16
0 1 5, 28.2, 100
1 0 10, 38.3, 36
1 1 0, 42.2, 37
2 0 5, 51.6, 19
1 2 5, 68.8, 16

Cell and atoms:
Cell lengths 4.2794, 4.2794, 30.4100 Å; angles 90.00, 90.00, 120.00 degrees
Space group R3m (No. 160, hexagonal axes)
Asymmetric unit:
Bi1 0.0000 0.0000 0.0000
Bi2 0.0000 0.0000 0.2077
Te1 0.0000 0.0000 0.8148
Se1 0.0000 0.0000 0.3841
Se2 0.0000 0.0000 0.6044

Record 4
# Te2Mo2WSe4
Theoretical powder X-ray diffraction pattern, Cu Kα X-rays. Input: a PBE-relaxed structure.

The 6 most intense peaks (5 to 70 degrees two-theta), low angle first:
h k l, 2theta, Rel. int.
0 0 2, 5.6, 78
0 0 4, 11.3, 100
1 0 0, 30.4, 39
0 1 6, 35.0, 49
1 0 7, 36.5, 62
1 0 11, 44.2, 47

Cell and atoms:
Cell lengths 3.3975, 3.3975, 31.3906 Å; angles 90.00, 90.00, 120.00 degrees
Space group P3m1 (No. 156)
Asymmetric unit:
Te1 0.0000 0.0000 0.0000
Te2 0.0000 0.0000 0.1192
Mo1 0.6667 0.3333 0.0596
Mo2 0.6667 0.3333 0.5969
W1 0.0000 0.0000 0.8282
Se1 0.0000 0.0000 0.5444
Se2 0.0000 0.0000 0.6494
Se3 0.6667 0.3333 0.7756
Se4 0.6667 0.3333 0.8809

Record 5
# Cr3Ga2N4
Theoretical powder X-ray diffraction pattern, Cu Kα X-rays. Input: a PBE-relaxed structure.

The 6 most intense peaks (5 to 70 degrees two-theta), low angle first:
h k l, 2theta, Rel. int.
0 2 1, 32.4, 100
2 2 -1, 33.6, 42
3 1 1, 35.6, 66
5 1 -1, 40.0, 43
5 1 0, 40.6, 60
2 2 -3, 60.9, 47

Cell and atoms:
Cell lengths 12.2352, 6.6813, 5.1269 Å; angles 90.00, 105.89, 90.00 degrees
Space group C2/c (No. 15)
Asymmetric unit:
Cr1 0.0000 0.0555 0.2500
Cr2 0.0756 0.3890 0.1274
Ga1 0.1989 0.1421 0.7323
N1 0.0925 0.3490 0.5010
N2 0.0963 0.1168 0.0007

Record 6
# LiDy2Ru
Theoretical powder X-ray diffraction pattern, Cu Kα X-rays. Input: a PBE-relaxed structure.

The 6 most intense peaks (5 to 70 degrees two-theta), low angle first:
h k l, 2theta, Rel. int.
1 1 1, 22.2, 13
2 0 0, 25.7, 30
2 2 0, 36.6, 100
4 0 0, 52.7, 18
4 2 0, 59.5, 12
4 2 2, 65.9, 36

Cell and atoms:
Cell lengths 6.9452, 6.9452, 6.9452 Å; angles 90.00, 90.00, 90.00 degrees
Space group Fm-3m (No. 225)
Asymmetric unit:
Li1 0.0000 0.0000 0.0000
Dy1 0.2500 0.2500 0.2500
Ru1 0.0000 0.0000 0.5000

Record 7
# Mg6TiW
Theoretical powder X-ray diffraction pattern, Cu Kα X-rays. Input: a PBE-relaxed structure.

The 6 most intense peaks (5 to 70 degrees two-theta), low angle first:
h k l, 2theta, Rel. int.
0 0 2, 16.1, 67
0 1 1, 17.4, 55
1 0 0, 17.8, 46
2 0 0, 36.1, 54
1 0 4, 37.3, 62
1 2 2, 39.8, 100

Cell and atoms:
Cell lengths 4.9699, 5.7373, 11.0424 Å; angles 90.00, 90.00, 90.00 degrees
Space group Amm2 (No. 38)
Asymmetric unit:
Mg1 0.0000 0.0000 0.0000
Mg2 0.0000 0.0000 0.4955
Mg3 0.0000 0.2431 0.2655
Mg4 0.5000 0.2495 0.1033
Ti1 0.5000 0.0000 0.8507
W1 0.5000 0.0000 0.3534